(1)
Theoretical powder X-ray diffraction pattern of SrLi2Au9 for λ = 1.5418 Å (Cu Kα), from a DFT-relaxed cell (GGA-PBE, Alexandria).
Intensities are scaled so that the largest is 100.

Principal peaks in the range 2θ from 10° to 90°, low angle first:
18.6°, intensity 93.7
37.6°, intensity 100.0
38.7°, intensity 44.4
40.7°, intensity 66.5
43.8°, intensity 42.4
80.2°, intensity 33.6

Crystal structure
Lattice parameters (Å, degrees): 9.841 9.841 9.841 32.96 32.96 32.96
Fractional coordinates of all 12 atoms:
Sr (0.000, 0.000, 0.000)
Li (0.154, 0.154, 0.154)
Li (0.846, 0.846, 0.846)
Au (0.083, 0.588, 0.588)
Au (0.333, 0.333, 0.333)
Au (0.412, 0.412, 0.917)
Au (0.412, 0.917, 0.412)
Au (0.500, 0.500, 0.500)
Au (0.588, 0.083, 0.588)
Au (0.588, 0.588, 0.083)
Au (0.667, 0.667, 0.667)
Au (0.917, 0.412, 0.412)


(2)
Theoretical powder X-ray diffraction pattern of Na4GeH28Se4O14 for λ = 1.5418 Å (Cu Kα), from a DFT-relaxed cell (GGA-PBE, Alexandria).
Intensities are scaled so that the largest is 100.

Principal peaks in the range 2θ from 10° to 90°, low angle first:
10.7°, intensity 100.0
13.9°, intensity 43.4
22.1°, intensity 36.9
23.0°, intensity 40.4
26.2°, intensity 44.6
27.9°, intensity 45.7

Crystal structure
Lattice parameters (Å, degrees): 8.592 8.592 8.257 103.28 103.28 80.52
Fractional coordinates of all 51 atoms:
Na (0.126, 0.542, 0.184)
Na (0.148, 0.148, 0.100)
Na (0.458, 0.874, 0.816)
Na (0.852, 0.852, 0.900)
Ge (0.714, 0.286, 0.500)
H (0.008, 0.072, 0.748)
H (0.021, 0.536, 0.837)
H (0.093, 0.884, 0.231)
H (0.116, 0.907, 0.769)
H (0.124, 0.334, 0.441)
H (0.142, 0.655, 0.853)
H (0.160, 0.672, 0.586)
H (0.208, 0.085, 0.583)
H (0.305, 0.342, 0.450)
H (0.325, 0.586, 0.673)
H (0.328, 0.840, 0.414)
H (0.332, 0.336, 0.937)
H (0.345, 0.858, 0.147)
H (0.388, 0.101, 0.595)
H (0.414, 0.675, 0.327)
H (0.423, 0.361, 0.126)
H (0.464, 0.979, 0.163)
H (0.623, 0.164, 0.882)
H (0.639, 0.577, 0.874)
H (0.652, 0.116, 0.062)
H (0.658, 0.695, 0.550)
H (0.664, 0.668, 0.063)
H (0.666, 0.876, 0.559)
H (0.836, 0.377, 0.118)
H (0.884, 0.348, 0.938)
H (0.899, 0.612, 0.405)
H (0.915, 0.792, 0.417)
H (0.928, 0.992, 0.252)
Se (0.530, 0.352, 0.692)
Se (0.648, 0.470, 0.308)
Se (0.699, 0.016, 0.353)
Se (0.984, 0.301, 0.647)
O (0.013, 0.964, 0.182)
O (0.036, 0.987, 0.818)
O (0.064, 0.633, 0.914)
O (0.200, 0.343, 0.370)
O (0.247, 0.684, 0.689)
O (0.315, 0.020, 0.588)
O (0.316, 0.753, 0.311)
O (0.318, 0.336, 0.051)
O (0.367, 0.936, 0.086)
O (0.642, 0.072, 0.940)
O (0.657, 0.800, 0.630)
O (0.664, 0.682, 0.949)
O (0.928, 0.358, 0.060)
O (0.980, 0.685, 0.412)


(3)
Theoretical powder X-ray diffraction pattern of MgCdNi for λ = 1.5418 Å (Cu Kα), from a DFT-relaxed cell (GGA-PBE, Alexandria).
Intensities are scaled so that the largest is 100.

Principal peaks in the range 2θ from 10° to 90°, low angle first:
23.0°, intensity 49.9
38.8°, intensity 100.0
40.5°, intensity 80.5
57.3°, intensity 30.2
69.0°, intensity 17.7
72.5°, intensity 28.9

Crystal structure
Lattice parameters (Å, degrees): 4.458 4.458 2.908 90.00 90.00 120.00
Fractional coordinates of all 3 atoms:
Mg (0.000, 0.000, 0.000)
Cd (0.667, 0.333, 0.595)
Ni (0.333, 0.667, 0.298)


(4)
Theoretical powder X-ray diffraction pattern of Li3Sb4Pb2 for λ = 1.5418 Å (Cu Kα), from a DFT-relaxed cell (GGA-PBE, Alexandria).
Intensities are scaled so that the largest is 100.

Principal peaks in the range 2θ from 10° to 90°, low angle first:
15.6°, intensity 100.0
29.7°, intensity 48.9
30.1°, intensity 47.4
31.5°, intensity 74.8
32.3°, intensity 69.3
36.8°, intensity 55.4

Crystal structure
Lattice parameters (Å, degrees): 8.649 7.802 7.470 90.00 107.38 90.00
Fractional coordinates of all 18 atoms:
Li (0.000, 0.000, 0.000)
Li (0.000, 0.500, 0.500)
Li (0.247, 0.158, 0.752)
Li (0.247, 0.342, 0.252)
Li (0.753, 0.658, 0.748)
Li (0.753, 0.842, 0.248)
Sb (0.001, 0.634, 0.137)
Sb (0.001, 0.866, 0.637)
Sb (0.426, 0.037, 0.147)
Sb (0.426, 0.463, 0.647)
Sb (0.574, 0.537, 0.353)
Sb (0.574, 0.963, 0.853)
Sb (0.999, 0.134, 0.363)
Sb (0.999, 0.366, 0.863)
Pb (0.304, 0.676, 0.980)
Pb (0.304, 0.824, 0.480)
Pb (0.696, 0.176, 0.520)
Pb (0.696, 0.324, 0.020)